No. 1
MoAu: simulated powder diffraction line list (λ = 1.5418 Å (Cu Kα)), based on a DFT-relaxed cell (PBE, Alexandria).

Most intense lines, 2θ from 15° to 90°, most intense first:
Position (°2θ)  Rel. int.
39.25  100
38.74  25
40.53  23
72.87  16
70.47  16
57.31  16

Structural model:
```
MoAu
1.0
1.6387 -2.2259 0.0000
1.6387 2.2259 0.0000
0.0000 0.0000 9.2969
Mo Au
2 2
Direct
0.2500 0.7500 0.8857
0.7500 0.2500 0.1143
0.2500 0.7500 0.3666
0.7500 0.2500 0.6334
```

---

No. 2
MoCl6: simulated powder diffraction line list (λ = 1.5418 Å (Cu Kα)), based on a DFT-relaxed cell (PBE, Alexandria).

Most intense lines, 2θ from 15° to 90°, most intense first:
Position (°2θ)  Rel. int.
15.11  100
34.19  45
21.43  32
46.46  21
56.59  18
43.66  12

Structural model:
```
MoCl6
1.0
-4.1461 4.1461 4.1461
4.1461 -4.1461 4.1461
4.1461 4.1461 -4.1461
Mo Cl
1 6
Direct
0.0000 0.0000 0.0000
0.0000 0.2787 0.2787
0.0000 0.7213 0.7213
0.2787 0.0000 0.2787
0.2787 0.2787 0.0000
0.7213 0.0000 0.7213
0.7213 0.7213 0.0000
```

---

No. 3
NaNdY4Se8: simulated powder diffraction line list (λ = 1.5418 Å (Cu Kα)), based on a DFT-relaxed cell (PBE, Alexandria).

Most intense lines, 2θ from 15° to 90°, most intense first:
Position (°2θ)  Rel. int.
29.66  100
42.66  56
42.22  56
24.54  43
38.85  20
52.81  18

Structural model:
```
NaNdY4Se8
1.0
4.2391 2.4474 7.0253
-4.2391 2.4474 7.0253
0.0000 -4.8949 7.0253
Na Nd Y Se
1 1 4 8
Direct
0.0000 0.0000 0.0000
0.3685 0.3685 0.3685
0.3681 0.3681 0.8876
0.3681 0.8876 0.3681
0.7470 0.7470 0.7470
0.8876 0.3681 0.3681
0.1281 0.1281 0.5951
0.1281 0.5951 0.1281
0.1336 0.1336 0.1336
0.1445 0.6197 0.6197
0.5951 0.1281 0.1281
0.6147 0.6147 0.6147
0.6197 0.1445 0.6197
0.6197 0.6197 0.1445
```

---

No. 4
LiCaLa2: simulated powder diffraction line list (λ = 1.5418 Å (Cu Kα)), based on a DFT-relaxed cell (PBE, Alexandria).

Most intense lines, 2θ from 15° to 90°, most intense first:
Position (°2θ)  Rel. int.
30.34  100
29.90  93
33.20  58
21.49  41
32.13  33
36.24  31

Structural model:
```
LiCaLa2
1.0
3.6689 0.0000 0.0000
0.0000 4.9576 0.0000
-0.4323 0.0000 7.4919
Li Ca La
1 1 2
Direct
0.0000 0.0000 0.0000
0.4817 0.5000 0.2431
0.0137 0.0000 0.5498
0.5263 0.5000 0.7464
```

---

No. 5
Cd5Ga3: simulated powder diffraction line list (λ = 1.5418 Å (Cu Kα)), based on a DFT-relaxed cell (PBE, Alexandria).

Most intense lines, 2θ from 15° to 90°, most intense first:
Position (°2θ)  Rel. int.
35.36  100
40.77  36
70.73  25
59.68  17
41.63  13
59.03  11

Structural model:
```
Cd5Ga3
1.0
3.1296 0.0000 0.0000
0.0000 3.1296 0.0000
0.0000 0.0000 17.3571
Cd Ga
5 3
Direct
0.0000 0.0000 0.0000
0.0000 0.0000 0.2636
0.0000 0.0000 0.7364
0.5000 0.5000 0.1318
0.5000 0.5000 0.8682
0.0000 0.0000 0.5000
0.5000 0.5000 0.3895
0.5000 0.5000 0.6105
```

---

No. 6
Ta3V4Sn: simulated powder diffraction line list (λ = 1.5418 Å (Cu Kα)), based on a DFT-relaxed cell (PBE, Alexandria).

Most intense lines, 2θ from 15° to 90°, most intense first:
Position (°2θ)  Rel. int.
40.05  100
39.83  51
27.87  36
72.46  34
28.18  18
57.59  17

Structural model:
```
Ta3V4Sn
1.0
4.5266 0.0000 0.0000
0.0000 4.5266 0.0000
0.0000 0.0000 6.3345
Ta V Sn
3 4 1
Direct
0.0000 0.0000 0.0000
0.0000 0.0000 0.5000
0.5000 0.5000 0.0000
0.0000 0.5000 0.2362
0.0000 0.5000 0.7638
0.5000 0.0000 0.2362
0.5000 0.0000 0.7638
0.5000 0.5000 0.5000
```

---

No. 7
CeSb2Pt: simulated powder diffraction line list (λ = 1.5418 Å (Cu Kα)), based on a DFT-relaxed cell (PBE, Alexandria).

Most intense lines, 2θ from 15° to 90°, most intense first:
Position (°2θ)  Rel. int.
33.88  100
39.97  40
68.72  26
56.33  14
57.80  13
30.82  12

Structural model:
```
CeSb2Pt
1.0
-2.2558 2.2558 9.4700
2.2558 -2.2558 9.4700
2.2558 2.2558 -9.4700
Ce Sb Pt
2 4 2
Direct
0.1254 0.1254 0.0000
0.8746 0.8746 0.0000
0.0000 0.5000 0.5000
0.3337 0.3337 0.0000
0.5000 0.0000 0.5000
0.6663 0.6663 0.0000
0.2500 0.7500 0.5000
0.7500 0.2500 0.5000
```

---

No. 8
PrSm3Dy2As6: simulated powder diffraction line list (λ = 1.5418 Å (Cu Kα)), based on a DFT-relaxed cell (PBE, Alexandria).

Most intense lines, 2θ from 15° to 90°, most intense first:
Position (°2θ)  Rel. int.
30.09  100
43.08  75
70.97  34
53.44  26
78.97  25
25.98  20

Structural model:
```
PrSm3Dy2As6
1.0
3.6371 -6.2990 0.0000
3.6371 6.2990 0.0000
-2.4235 0.0000 6.8591
Pr Sm Dy As
1 3 2 6
Direct
0.0000 0.0000 0.0000
0.1653 0.8347 0.5000
0.5000 0.5000 0.5000
0.8347 0.1653 0.5000
0.3329 0.6671 0.0000
0.6671 0.3329 0.0000
0.0828 0.4222 0.2483
0.2571 0.2571 0.7529
0.4222 0.0828 0.2483
0.5778 0.9172 0.7517
0.7429 0.7429 0.2471
0.9172 0.5778 0.7517
```